Entry 1:
For CoCuTc, a PBE-relaxed structure gives the calculated X-ray powder pattern in this record (copper Kα).

Atomic structure:
```
data_CoCuTc
_cell_length_a 2.6087
_cell_length_b 3.6438
_cell_length_c 7.7617
_cell_angle_alpha 90.00
_cell_angle_beta 90.00
_cell_angle_gamma 90.00
_space_group_name_H-M_alt 'I m m 2'
_space_group_IT_number 44
loop_
_space_group_symop_operation_xyz
'x,y,z'
'-x,-y,z'
'-x,y,z'
'x,-y,z'
'x+1/2,y+1/2,z+1/2'
'-x+1/2,-y+1/2,z+1/2'
'-x+1/2,y+1/2,z+1/2'
'x+1/2,-y+1/2,z+1/2'
loop_
_atom_site_label
_atom_site_type_symbol
_atom_site_fract_x
_atom_site_fract_y
_atom_site_fract_z
_atom_site_occupancy
Co1 Co 0.0000 0.0000 0.0000 1
Cu1 Cu 0.0000 0.0000 0.6693 1
Tc1 Tc 0.0000 0.0000 0.3438 1
```

Principal peaks in the range 2θ from 10° to 80°, sorted by position:
| Position (°2θ) | Rel. int. | index |
| --- | --- | --- |
| 42.62 | 100 | 1 1 0 |
| 42.87 | 98 | 0 1 3 |
| 49.63 | 62 | 1 0 3 |
| 50.07 | 31 | 0 2 0 |
| 72.46 | 9 | 2 0 0 |
| 73.16 | 45 | 1 2 3 |

Entry 2:
For CoCu2Te, a PBE-relaxed structure gives the calculated X-ray powder pattern in this record (copper Kα).

Atomic structure:
```
data_CoCu2Te
_cell_length_a 8.2772
_cell_length_b 3.6987
_cell_length_c 4.0939
_cell_angle_alpha 90.00
_cell_angle_beta 111.56
_cell_angle_gamma 90.00
_space_group_name_H-M_alt 'C 1 m 1'
_space_group_IT_number 8
loop_
_space_group_symop_operation_xyz
'x,y,z'
'x,-y,z'
'x+1/2,y+1/2,z'
'x+1/2,-y+1/2,z'
loop_
_atom_site_label
_atom_site_type_symbol
_atom_site_fract_x
_atom_site_fract_y
_atom_site_fract_z
_atom_site_occupancy
Co1 Co 0.0000 0.0000 0.0000 1
Cu1 Cu 0.2378 0.0000 0.6814 1
Cu2 Cu 0.4962 0.0000 0.5010 1
Te1 Te 0.2314 0.5000 0.1688 1
```

Principal peaks in the range 2θ from 10° to 80°, sorted by position:
| Position (°2θ) | Rel. int. | index |
| --- | --- | --- |
| 38.62 | 100 | 1 1 1 |
| 42.27 | 83 | 3 1 -1 |
| 44.68 | 30 | 2 0 -2 |
| 47.23 | 29 | 4 0 0 |
| 49.27 | 26 | 0 2 0 |
| 70.64 | 16 | 4 2 0 |

Entry 3:
For CoCu2Te, a PBE-relaxed structure gives the calculated X-ray powder pattern in this record (copper Kα).

Atomic structure:
```
data_CoCu2Te
_cell_length_a 3.8950
_cell_length_b 3.8950
_cell_length_c 7.5321
_cell_angle_alpha 90.00
_cell_angle_beta 90.00
_cell_angle_gamma 90.00
_space_group_name_H-M_alt 'I -4 m 2'
_space_group_IT_number 119
_space_group_name_Hall 'I -4 -2'
loop_
_atom_site_label
_atom_site_type_symbol
_atom_site_fract_x
_atom_site_fract_y
_atom_site_fract_z
_atom_site_occupancy
Co1 Co 0.0000 0.0000 0.0000 1
Cu1 Cu 0.0000 0.0000 0.5000 1
Cu2 Cu 0.0000 0.5000 0.2500 1
Te1 Te 0.0000 0.5000 0.7500 1
```

Principal peaks in the range 2θ from 10° to 80°, sorted by position:
| Position (°2θ) | Rel. int. | index |
| --- | --- | --- |
| 25.75 | 10 | 1 0 1 |
| 40.58 | 100 | 1 1 2 |
| 46.64 | 33 | 2 0 0 |
| 48.33 | 15 | 0 0 4 |
| 68.09 | 10 | 2 2 0 |
| 69.43 | 19 | 2 0 4 |

Entry 4:
For Ti4Co5Cu, a PBE-relaxed structure gives the calculated X-ray powder pattern in this record (copper Kα).

Atomic structure:
```
data_Ti4Co5Cu
_cell_length_a 3.0091
_cell_length_b 3.0091
_cell_length_c 14.0319
_cell_angle_alpha 90.00
_cell_angle_beta 90.00
_cell_angle_gamma 90.00
_space_group_name_H-M_alt 'P 4/m m m'
_space_group_IT_number 123
_space_group_name_Hall '-P 4 2'
loop_
_atom_site_label
_atom_site_type_symbol
_atom_site_fract_x
_atom_site_fract_y
_atom_site_fract_z
_atom_site_occupancy
Ti1 Ti 0.0000 0.0000 0.1039 1
Ti2 Ti 0.0000 0.0000 0.3135 1
Co1 Co 0.5000 0.5000 0.0000 1
Co2 Co 0.5000 0.5000 0.2035 1
Co3 Co 0.5000 0.5000 0.4016 1
Cu1 Cu 0.0000 0.0000 0.5000 1
```

Principal peaks in the range 2θ from 10° to 80°, sorted by position:
| Position (°2θ) | Rel. int. | index |
| --- | --- | --- |
| 42.48 | 58 | 1 1 0 |
| 44.13 | 100 | 1 0 5 |
| 49.35 | 2 | 1 0 6 |
| 61.65 | 18 | 2 0 0 |
| 66.65 | 6 | 0 0 10 |
| 78.89 | 31 | 2 1 5 |

Entry 5:
For Ti5Co6Cu, a PBE-relaxed structure gives the calculated X-ray powder pattern in this record (copper Kα).

Atomic structure:
```
data_Ti5Co6Cu
_cell_length_a 4.1301
_cell_length_b 5.9940
_cell_length_c 12.3753
_cell_angle_alpha 90.00
_cell_angle_beta 90.00
_cell_angle_gamma 90.00
_space_group_name_H-M_alt 'I m m m'
_space_group_IT_number 71
_space_group_name_Hall '-I 2 2'
loop_
_atom_site_label
_atom_site_type_symbol
_atom_site_fract_x
_atom_site_fract_y
_atom_site_fract_z
_atom_site_occupancy
Ti1 Ti 0.0000 0.0000 0.0000 1
Ti2 Ti 0.0000 0.0000 0.3477 1
Ti3 Ti 0.0000 0.5000 0.3285 1
Co1 Co 0.0000 0.2401 0.1710 1
Co2 Co 0.0000 0.2704 0.5000 1
Cu1 Cu 0.0000 0.5000 0.0000 1
```

Principal peaks in the range 2θ from 10° to 80°, sorted by position:
| Position (°2θ) | Rel. int. | index |
| --- | --- | --- |
| 39.37 | 2 | 1 1 4 |
| 43.27 | 100 | 1 2 3 |
| 43.87 | 48 | 2 0 0 |
| 61.92 | 8 | 0 4 0 |
| 63.78 | 14 | 2 0 6 |
| 78.95 | 14 | 2 4 0 |

Entry 6:
For TlCoCu2, a PBE-relaxed structure gives the calculated X-ray powder pattern in this record (copper Kα).

Atomic structure:
```
data_TlCoCu2
_cell_length_a 3.9698
_cell_length_b 3.9698
_cell_length_c 7.2575
_cell_angle_alpha 90.00
_cell_angle_beta 90.00
_cell_angle_gamma 90.00
_space_group_name_H-M_alt 'I -4 m 2'
_space_group_IT_number 119
_space_group_name_Hall 'I -4 -2'
loop_
_atom_site_label
_atom_site_type_symbol
_atom_site_fract_x
_atom_site_fract_y
_atom_site_fract_z
_atom_site_occupancy
Tl1 Tl 0.0000 0.0000 0.0000 1
Co1 Co 0.0000 0.5000 0.7500 1
Cu1 Cu 0.0000 0.0000 0.5000 1
Cu2 Cu 0.0000 0.5000 0.2500 1
```

Principal peaks in the range 2θ from 10° to 80°, sorted by position:
| Position (°2θ) | Rel. int. | index |
| --- | --- | --- |
| 25.58 | 35 | 1 0 1 |
| 31.88 | 11 | 1 1 0 |
| 40.63 | 100 | 1 1 2 |
| 45.71 | 35 | 2 0 0 |
| 50.29 | 13 | 0 0 4 |
| 70.29 | 19 | 2 0 4 |

Entry 7:
For Tm4Co3Cu, a PBE-relaxed structure gives the calculated X-ray powder pattern in this record (copper Kα).

Atomic structure:
```
data_Tm4Co3Cu
_cell_length_a 3.9137
_cell_length_b 3.9457
_cell_length_c 10.1282
_cell_angle_alpha 90.00
_cell_angle_beta 90.00
_cell_angle_gamma 90.00
_space_group_name_H-M_alt 'P m m 2'
_space_group_IT_number 25
loop_
_space_group_symop_operation_xyz
'x,y,z'
'-x,-y,z'
'-x,y,z'
'x,-y,z'
loop_
_atom_site_label
_atom_site_type_symbol
_atom_site_fract_x
_atom_site_fract_y
_atom_site_fract_z
_atom_site_occupancy
Tm1 Tm 0.0000 0.0000 0.0000 1
Tm2 Tm 0.0000 0.5000 0.2817 1
Tm3 Tm 0.5000 0.0000 0.4902 1
Tm4 Tm 0.5000 0.5000 0.7797 1
Co1 Co 0.0000 0.5000 0.5671 1
Co2 Co 0.5000 0.0000 0.1948 1
Co3 Co 0.5000 0.5000 0.0783 1
Cu1 Cu 0.0000 0.0000 0.7065 1
```

Principal peaks in the range 2θ from 10° to 80°, sorted by position:
| Position (°2θ) | Rel. int. | index |
| --- | --- | --- |
| 28.68 | 42 | 0 1 2 |
| 33.44 | 100 | 1 1 1 |
| 35.10 | 54 | 1 0 3 |
| 42.12 | 38 | 1 1 3 |
| 46.00 | 23 | 0 2 0 |
| 59.15 | 24 | 1 2 3 |

Entry 8:
For Tm3CoCu, a PBE-relaxed structure gives the calculated X-ray powder pattern in this record (copper Kα).

Atomic structure:
```
data_Tm3CoCu
_cell_length_a 4.0369
_cell_length_b 6.7027
_cell_length_c 8.4116
_cell_angle_alpha 90.00
_cell_angle_beta 90.00
_cell_angle_gamma 90.00
_space_group_name_H-M_alt 'P m m n'
_space_group_IT_number 59
loop_
_space_group_symop_operation_xyz
'x,y,z'
'-x,-y,-z'
'-x+1/2,-y+1/2,z'
'x+1/2,y+1/2,-z'
'x+1/2,-y,-z'
'-x+1/2,y,z'
'-x,y+1/2,-z'
'x,-y+1/2,z'
loop_
_atom_site_label
_atom_site_type_symbol
_atom_site_fract_x
_atom_site_fract_y
_atom_site_fract_z
_atom_site_occupancy
Tm1 Tm 0.2500 0.0043 0.1622 1
Tm2 Tm 0.2500 0.2500 0.5608 1
Co1 Co 0.2500 0.2500 0.8870 1
Cu1 Cu 0.2500 0.7500 0.6737 1
```

Principal peaks in the range 2θ from 10° to 80°, sorted by position:
| Position (°2θ) | Rel. int. | index |
| --- | --- | --- |
| 28.67 | 46 | 0 2 1 |
| 30.70 | 66 | 1 0 2 |
| 31.92 | 24 | 0 0 3 |
| 36.44 | 100 | 1 2 1 |
| 44.91 | 28 | 2 0 0 |
| 56.46 | 21 | 1 2 4 |

Entry 9:
For Tm12Co6Cu, a PBE-relaxed structure gives the calculated X-ray powder pattern in this record (copper Kα).

Atomic structure:
```
data_Tm12Co6Cu
_cell_length_a 9.4420
_cell_length_b 9.4420
_cell_length_c 9.4420
_cell_angle_alpha 90.00
_cell_angle_beta 90.00
_cell_angle_gamma 90.00
_space_group_name_H-M_alt 'I m -3'
_space_group_IT_number 204
_space_group_name_Hall '-I 2 2 3'
loop_
_atom_site_label
_atom_site_type_symbol
_atom_site_fract_x
_atom_site_fract_y
_atom_site_fract_z
_atom_site_occupancy
Tm1 Tm 0.0000 0.2997 0.1938 1
Co1 Co 0.0000 0.1152 0.5000 1
Cu1 Cu 0.0000 0.0000 0.0000 1
```

Principal peaks in the range 2θ from 10° to 80°, sorted by position:
| Position (°2θ) | Rel. int. | index |
| --- | --- | --- |
| 29.93 | 45 | 3 0 1 |
| 32.86 | 56 | 2 2 2 |
| 35.58 | 100 | 3 1 2 |
| 38.12 | 22 | 4 0 0 |
| 56.86 | 40 | 5 3 0 |
| 60.44 | 39 | 5 2 3 |

Entry 10:
For Tm4CoCu2, a PBE-relaxed structure gives the calculated X-ray powder pattern in this record (copper Kα).

Atomic structure:
```
data_Tm4CoCu2
_cell_length_a 4.7412
_cell_length_b 4.7412
_cell_length_c 6.7797
_cell_angle_alpha 90.00
_cell_angle_beta 90.00
_cell_angle_gamma 90.00
_space_group_name_H-M_alt 'P 4/m m m'
_space_group_IT_number 123
_space_group_name_Hall '-P 4 2'
loop_
_atom_site_label
_atom_site_type_symbol
_atom_site_fract_x
_atom_site_fract_y
_atom_site_fract_z
_atom_site_occupancy
Tm1 Tm 0.0000 0.5000 0.2424 1
Co1 Co 0.0000 0.0000 0.0000 1
Cu1 Cu 0.0000 0.0000 0.5000 1
Cu2 Cu 0.5000 0.5000 0.0000 1
```

Principal peaks in the range 2θ from 10° to 80°, sorted by position:
| Position (°2θ) | Rel. int. | index |
| --- | --- | --- |
| 26.29 | 18 | 0 0 2 |
| 26.59 | 36 | 1 1 0 |
| 37.74 | 100 | 1 1 2 |
| 37.96 | 50 | 2 0 0 |
| 67.99 | 17 | 2 0 4 |
| 68.42 | 34 | 3 1 2 |

Entry 11:
For Tm2CoCu, a PBE-relaxed structure gives the calculated X-ray powder pattern in this record (copper Kα).

Atomic structure:
```
data_Tm2CoCu
_cell_length_a 5.4915
_cell_length_b 4.0332
_cell_length_c 7.6206
_cell_angle_alpha 90.00
_cell_angle_beta 110.86
_cell_angle_gamma 90.00
_space_group_name_H-M_alt 'P 1 21/m 1'
_space_group_IT_number 11
loop_
_space_group_symop_operation_xyz
'x,y,z'
'-x,-y,-z'
'-x,y+1/2,-z'
'x,-y+1/2,z'
loop_
_atom_site_label
_atom_site_type_symbol
_atom_site_fract_x
_atom_site_fract_y
_atom_site_fract_z
_atom_site_occupancy
Tm1 Tm 0.2132 0.2500 0.4377 1
Tm2 Tm 0.2231 0.2500 0.9211 1
Co1 Co 0.3597 0.7500 0.7174 1
Cu1 Cu 0.3544 0.7500 0.2131 1
```

Principal peaks in the range 2θ from 10° to 80°, sorted by position:
| Position (°2θ) | Rel. int. | index |
| --- | --- | --- |
| 28.14 | 79 | 1 1 0 |
| 33.45 | 100 | 1 1 -2 |
| 33.57 | 98 | 0 1 2 |
| 34.97 | 51 | 2 0 0 |
| 35.43 | 46 | 1 0 2 |
| 44.95 | 48 | 0 2 0 |

Entry 12:
For U2CoCu, a PBE-relaxed structure gives the calculated X-ray powder pattern in this record (copper Kα).

Atomic structure:
```
data_U2CoCu
_cell_length_a 2.8021
_cell_length_b 2.8021
_cell_length_c 31.0265
_cell_angle_alpha 90.00
_cell_angle_beta 90.00
_cell_angle_gamma 120.00
_space_group_name_H-M_alt 'R -3 m'
_space_group_IT_number 166
_space_group_name_Hall '-R 3 2"'
loop_
_atom_site_label
_atom_site_type_symbol
_atom_site_fract_x
_atom_site_fract_y
_atom_site_fract_z
_atom_site_occupancy
U1 U 0.0000 0.0000 0.0917 1
Co1 Co 0.0000 0.0000 0.5000 1
Cu1 Cu 0.0000 0.0000 0.0000 1
```

Principal peaks in the range 2θ from 10° to 80°, sorted by position:
| Position (°2θ) | Rel. int. | index |
| --- | --- | --- |
| 17.15 | 100 | 0 0 6 |
| 34.69 | 52 | 0 0 12 |
| 37.16 | 79 | 1 0 1 |
| 37.51 | 51 | 0 1 2 |
| 39.89 | 81 | 0 1 5 |
| 47.57 | 72 | 1 0 10 |

Entry 13:
For Co2CuW, a PBE-relaxed structure gives the calculated X-ray powder pattern in this record (copper Kα).

Atomic structure:
```
data_Co2CuW
_cell_length_a 8.7447
_cell_length_b 2.6334
_cell_length_c 4.3958
_cell_angle_alpha 90.00
_cell_angle_beta 102.30
_cell_angle_gamma 90.00
_space_group_name_H-M_alt 'C 1 m 1'
_space_group_IT_number 8
loop_
_space_group_symop_operation_xyz
'x,y,z'
'x,-y,z'
'x+1/2,y+1/2,z'
'x+1/2,-y+1/2,z'
loop_
_atom_site_label
_atom_site_type_symbol
_atom_site_fract_x
_atom_site_fract_y
_atom_site_fract_z
_atom_site_occupancy
Co1 Co 0.0000 0.0000 0.0000 1
Co2 Co 0.2288 0.5000 0.2688 1
Cu1 Cu 0.2470 0.0000 0.7828 1
W1 W 0.4843 0.0000 0.4894 1
```

Principal peaks in the range 2θ from 10° to 80°, sorted by position:
| Position (°2θ) | Rel. int. | index |
| --- | --- | --- |
| 20.68 | 29 | 0 0 1 |
| 20.79 | 29 | 2 0 0 |
| 42.31 | 51 | 4 0 0 |
| 42.77 | 100 | 1 1 1 |
| 42.92 | 48 | 2 0 -2 |
| 48.78 | 67 | 3 1 -1 |

Entry 14:
For Y2Co3Cu14, a PBE-relaxed structure gives the calculated X-ray powder pattern in this record (copper Kα).

Atomic structure:
```
data_Y2Co3Cu14
_cell_length_a 8.4931
_cell_length_b 8.4931
_cell_length_c 8.2561
_cell_angle_alpha 90.00
_cell_angle_beta 90.00
_cell_angle_gamma 120.00
_space_group_name_H-M_alt 'P 63/m m c'
_space_group_IT_number 194
_space_group_name_Hall '-P 6c 2c'
loop_
_atom_site_label
_atom_site_type_symbol
_atom_site_fract_x
_atom_site_fract_y
_atom_site_fract_z
_atom_site_occupancy
Y1 Y 0.0000 0.0000 0.2500 1
Y2 Y 0.3333 0.6667 0.2500 1
Co1 Co 0.0000 0.5000 0.0000 1
Cu1 Cu 0.0394 0.3711 0.7500 1
Cu2 Cu 0.1665 0.3330 0.0185 1
Cu3 Cu 0.3333 0.6667 0.6011 1
```

Principal peaks in the range 2θ from 10° to 80°, sorted by position:
| Position (°2θ) | Rel. int. | index |
| --- | --- | --- |
| 36.65 | 37 | 3 0 0 |
| 40.96 | 40 | 2 0 3 |
| 42.58 | 61 | 2 2 0 |
| 42.90 | 100 | 3 0 2 |
| 43.86 | 36 | 0 0 4 |
| 48.20 | 58 | 2 2 2 |